# Tl3VO4
Theoretical powder diffractogram, Cu Ka. Input: a crystal structure in Alexandria, relaxed with GGA+U.

Structural model:
Lattice parameters (Å, degrees): 9.1121 10.3589 7.9114 90.00 90.00 90.00
Space group Pnma (No. 62)
Inequivalent atoms, fractional coordinates:
Tl: 0.0257 0.2500 0.0993 (multiplicity 4)
Tl: 0.1305 0.5579 0.3344 (multiplicity 8)
V: 0.1940 0.2500 0.5605 (multiplicity 4)
O: 0.0210 0.2500 0.4698 (multiplicity 4)
O: 0.1842 0.2500 0.7835 (multiplicity 4)
O: 0.2028 0.6139 0.0000 (multiplicity 8)

Largest 8 diffraction maxima, by angle, 10 to 90 degrees two-theta:
Position (°2θ)  I_rel  (hkl)
22.52  100  2 0 1
22.72  79  1 2 1
26.02  100  1 1 2
28.20  68  0 3 1
28.41  78  2 2 1
30.07  46  1 2 2
32.54  73  2 3 0
45.93  50  3 3 2